Structure and simulated XRD peak list of Ca3GaGe2 (a GGA-PBE-relaxed structure; copper Kα).

Largest 6 diffraction maxima, by angle, 2θ from 5° to 70°:
index  Position (°2θ)  Rel. int.
2 1 2  29.6  64
0 1 3  30.3  70
3 1 2  34.2  100
4 1 1  37.6  55
4 1 2  39.7  58
0 2 0  42.6  66

Cell and atoms:
Unit cell a=11.9238 b=4.2473 c=12.3197 alpha=90.00 beta=90.00 gamma=90.00
Space group Pnma (No. 62)
Symmetry-distinct sites (fractional):
1 Ca 0.0664 0.2500 0.1158 [4 per cell]
2 Ca 0.1242 0.7500 0.5542 [4 per cell]
3 Ca 0.1953 0.2500 0.8014 [4 per cell]
4 Ga 0.1412 0.2500 0.3521 [4 per cell]
5 Ge 0.0252 0.7500 0.3175 [4 per cell]
6 Ge 0.1947 0.7500 0.9892 [4 per cell]

Structure and simulated XRD peak list of LiPmCd2O4 (a GGA-PBE-relaxed structure; copper Kα).

Largest 6 diffraction maxima, by angle, 2θ from 5° to 70°:
index  Position (°2θ)  Rel. int.
0 2 3  28.7  100
1 1 2  32.1  64
0 4 0  32.4  39
1 3 1  37.2  41
1 3 2  39.7  55
1 1 5  49.4  38

Cell and atoms:
Unit cell a=3.3512 b=11.0394 c=11.2857 alpha=90.00 beta=90.00 gamma=90.00
Space group Cmcm (No. 63)
Symmetry-distinct sites (fractional):
1 Li 0.0000 0.1508 0.2500 [4 per cell]
2 Pm 0.0000 0.1140 0.7500 [4 per cell]
3 Cd 0.0000 0.3686 0.5513 [8 per cell]
4 O 0.0000 0.0000 0.0000 [4 per cell]
5 O 0.0000 0.2780 0.1311 [8 per cell]
6 O 0.0000 0.4552 0.7500 [4 per cell]

Structure and simulated XRD peak list of Pa2Ge3Pt2 (a GGA-PBE-relaxed structure; copper Kα).

Largest 6 diffraction maxima, by angle, 2θ from 5° to 70°:
index  Position (°2θ)  Rel. int.
0 2 0  9.5  31
1 1 2  33.7  100
1 5 1  34.5  94
1 3 2  36.4  38
2 0 0  42.2  47
0 4 3  43.9  40

Cell and atoms:
Unit cell a=4.2861 b=18.6142 c=6.8982 alpha=90.00 beta=90.00 gamma=90.00
Space group Cmcm (No. 63)
Symmetry-distinct sites (fractional):
1 Pa 0.0000 0.0530 0.2500 [4 per cell]
2 Pa 0.0000 0.1546 0.7500 [4 per cell]
3 Ge 0.0000 0.2181 0.2500 [4 per cell]
4 Ge 0.0000 0.4386 0.0632 [8 per cell]
5 Pt 0.0000 0.3087 0.5428 [8 per cell]

Structure and simulated XRD peak list of PSI3 (a GGA-PBE-relaxed structure; copper Kα).

Largest 6 diffraction maxima, by angle, 2θ from 5° to 70°:
index  Position (°2θ)  Rel. int.
0 2 0  15.2  59
2 2 0  22.9  100
3 1 0  26.8  64
0 2 2  31.3  77
2 0 2  32.3  62
3 3 2  44.6  47

Cell and atoms:
Unit cell a=10.4019 b=11.6653 c=6.5466 alpha=90.00 beta=90.00 gamma=90.00
Space group Ima2 (No. 46)
Symmetry-distinct sites (fractional):
1 P 0.2500 0.2173 0.0000 [4 per cell]
2 S 0.2500 0.1148 0.7547 [4 per cell]
3 I 0.0403 0.7491 0.0295 [8 per cell]
4 I 0.2500 0.0628 0.2708 [4 per cell]

Structure and simulated XRD peak list of RbNa3S4O12 (a GGA-PBE-relaxed structure; copper Kα).

Largest 6 diffraction maxima, by angle, 2θ from 5° to 70°:
index  Position (°2θ)  Rel. int.
2 1 1  25.8  20
2 0 2  26.9  100
1 2 2  31.2  17
2 2 0  31.3  20
1 3 1  34.2  13
0 2 4  44.4  20

Cell and atoms:
Unit cell a=11.4206 b=11.4206 c=8.9577 alpha=90.00 beta=90.00 gamma=120.00
Space group R32 (No. 155, hexagonal axes)
Symmetry-distinct sites (fractional):
1 Rb 0.0000 0.0000 0.0000 [3 per cell]
2 Na 0.0000 0.5515 0.0000 [9 per cell]
3 S 0.0000 0.0000 0.5000 [3 per cell]
4 S 0.0000 0.4475 0.5000 [9 per cell]
5 O 0.0000 0.5795 0.5000 [9 per cell]
6 O 0.0000 0.8681 0.5000 [9 per cell]
7 O 0.0173 0.2206 0.1803 [18 per cell]

Structure and simulated XRD peak list of H6PbCNCl3 (a GGA-PBE-relaxed structure; copper Kα).

Largest 6 diffraction maxima, by angle, 2θ from 5° to 70°:
index  Position (°2θ)  Rel. int.
0 0 1  15.0  49
1 0 0  15.4  100
0 1 1  21.6  40
1 0 1  21.9  55
0 0 2  30.2  25
2 1 0  34.9  35

Cell and atoms:
Unit cell a=5.7531 b=5.7319 c=5.9172 alpha=90.00 beta=91.32 gamma=90.00
Space group Pm (No. 6)
Symmetry-distinct sites (fractional):
1 H 0.0000 0.0000 0.0000 [1 per cell]
2 H 0.1008 0.1570 0.2456 [2 per cell]
3 H 0.6789 0.1473 0.2204 [2 per cell]
4 H 0.7674 0.0000 0.4483 [1 per cell]
5 Pb 0.4466 0.5000 0.7158 [1 per cell]
6 C 0.0109 0.0000 0.1848 [1 per cell]
7 N 0.7707 0.0000 0.2733 [1 per cell]
8 Cl 0.4880 0.5000 0.2009 [1 per cell]
9 Cl 0.4955 0.0000 0.7458 [1 per cell]
10 Cl 0.9572 0.5000 0.6616 [1 per cell]

Structure and simulated XRD peak list of Th3ScTl3Te8 (a GGA-PBE-relaxed structure; copper Kα).

Largest 6 diffraction maxima, by angle, 2θ from 5° to 70°:
index  Position (°2θ)  Rel. int.
0 2 4  27.4  100
2 0 8  36.8  41
2 2 0  41.5  34
4 0 4  50.4  19
2 2 12  60.7  16
2 4 4  67.3  15

Cell and atoms:
Unit cell a=8.7124 b=8.7124 c=25.6838 alpha=90.00 beta=90.00 gamma=120.00
Space group R-3m (No. 166, hexagonal axes)
Symmetry-distinct sites (fractional):
1 Th 0.0000 0.5000 0.0000 [9 per cell]
2 Sc 0.0000 0.0000 0.0000 [3 per cell]
3 Tl 0.0000 0.5000 0.5000 [9 per cell]
4 Te 0.0000 0.0000 0.2574 [6 per cell]
5 Te 0.0164 0.5082 0.7373 [18 per cell]

Structure and simulated XRD peak list of AcMgAl3Pd (a GGA-PBE-relaxed structure; copper Kα).

Largest 6 diffraction maxima, by angle, 2θ from 5° to 70°:
index  Position (°2θ)  Rel. int.
1 1 1  21.2  100
0 0 2  27.7  28
0 4 1  29.4  35
1 5 0  35.8  28
2 0 2  41.0  35
2 4 1  42.2  27

Cell and atoms:
Unit cell a=6.0458 b=13.7869 c=6.4324 alpha=90.00 beta=90.00 gamma=90.00
Space group Cmcm (No. 63)
Symmetry-distinct sites (fractional):
1 Ac 0.0000 0.2080 0.2500 [4 per cell]
2 Mg 0.0000 0.1473 0.7500 [4 per cell]
3 Al 0.0000 0.3786 0.7500 [4 per cell]
4 Al 0.2209 0.0000 0.0000 [8 per cell]
5 Pd 0.0000 0.4234 0.2500 [4 per cell]

What is the formula in the fifth record? RbNa3S4O12